Record 1
Starting from DFT lattice parameters and positions (GGA-PBE), the powder diffractogram of Mg14MnB was computed for Cu Kα (weighted mean of Kα1 and Kα2).
Neutral-atom scattering factors, no anomalous dispersion.

Atomic structure:
```
data_Mg14MnB
_symmetry_space_group_name_H-M 'P -6 m 2'
_symmetry_Int_Tables_number 187
_symmetry_space_group_name_Hall 'P -6 2'
_cell_length_a 6.1919
_cell_length_b 6.1919
_cell_length_c 10.0684
_cell_angle_alpha 90.00
_cell_angle_beta 90.00
_cell_angle_gamma 120.00
loop_
_atom_site_label
_atom_site_fract_x
_atom_site_fract_y
_atom_site_fract_z
Mg1 0.0000 0.0000 0.2479
Mg2 0.0123 0.5061 0.2533
Mg3 0.3312 0.1656 0.5000
Mg4 0.3354 0.1677 0.0000
Mn1 0.3333 0.6667 0.0000
B1 0.3333 0.6667 0.5000
```

Main lines, sorted by position (2θ from 10° to 90°):
2θ 18.7, intensity 10; 2θ 30.2, intensity 3; 2θ 33.4, intensity 24; 2θ 35.7, intensity 27; 2θ 38.0, intensity 100; 2θ 49.7, intensity 15; 2θ 59.7, intensity 16; 2θ 65.6, intensity 18; 2θ 71.6, intensity 18; 2θ 73.0, intensity 13

Record 2
Starting from DFT lattice parameters and positions (GGA-PBE), the powder diffractogram of Mg14BMo was computed for Cu Kα (weighted mean of Kα1 and Kα2).
Neutral-atom scattering factors, no anomalous dispersion.

Atomic structure:
```
data_Mg14BMo
_symmetry_space_group_name_H-M 'A m m 2'
_symmetry_Int_Tables_number 38
_cell_length_a 9.979
_cell_length_b 6.100
_cell_length_c 10.746
_cell_angle_alpha 90.00
_cell_angle_beta 90.00
_cell_angle_gamma 90.00
loop_
_symmetry_equiv_pos_as_xyz
'x,y,z'
'-x,-y,z'
'-x,y,z'
'x,-y,z'
'x,y+1/2,z+1/2'
'-x,-y+1/2,z+1/2'
'-x,y+1/2,z+1/2'
'x,-y+1/2,z+1/2'
loop_
_atom_site_label
_atom_site_fract_x
_atom_site_fract_y
_atom_site_fract_z
Mg1 0.000 0.000 0.000
Mg2 0.000 0.000 0.499
Mg3 0.000 0.249 0.253
Mg4 0.255 0.000 0.663
Mg5 0.260 0.000 0.162
Mg6 0.272 0.248 0.922
Mg7 0.500 0.247 0.748
B1 0.500 0.000 0.002
Mo1 0.500 0.000 0.505
```

Main lines, sorted by position (2θ from 10° to 90°):
2θ 16.7, intensity 19; 2θ 18.9, intensity 30; 2θ 24.5, intensity 17; 2θ 33.8, intensity 27; 2θ 36.0, intensity 38; 2θ 38.0, intensity 53; 2θ 38.4, intensity 100; 2θ 59.9, intensity 17; 2θ 66.3, intensity 16; 2θ 71.9, intensity 18